Record 1
The following is a simulated X-ray powder pattern of LiHgB4. It was derived from a cell relaxed with PBE, using Cu Kα (weighted mean of Kα1 and Kα2).

Largest 10 diffraction maxima, in order of rising 2θ, 2θ from 10° to 90°:
- 20.51°, rel. 100.0
- 22.61°, rel. 29.7
- 31.24°, rel. 37.8
- 33.90°, rel. 28.2
- 34.58°, rel. 13.2
- 38.47°, rel. 22.0
- 41.13°, rel. 44.9
- 41.72°, rel. 21.9
- 47.29°, rel. 23.7
- 58.36°, rel. 13.3

Atomic structure:
abc: 4.956 4.956 4.956
angles: 143.86 116.88 74.94
Fractional coordinates of all 6 atoms:
Li (0.000, 0.000, 0.000)
Hg (0.500, 0.500, 0.000)
B (0.069, 0.739, 0.330)
B (0.409, 0.739, 0.670)
B (0.591, 0.261, 0.330)
B (0.931, 0.261, 0.670)

***

Record 2
The following is a simulated X-ray powder pattern of K2HfH6O6. It was derived from a cell relaxed with PBE, using Cu Kα (weighted mean of Kα1 and Kα2).

Largest 10 diffraction maxima, in order of rising 2θ, 2θ from 10° to 90°:
- 17.26°, rel. 89.5
- 19.52°, rel. 53.8
- 20.65°, rel. 50.7
- 27.87°, rel. 51.6
- 34.26°, rel. 100.0
- 49.16°, rel. 39.3
- 49.31°, rel. 22.2
- 53.52°, rel. 22.7
- 61.41°, rel. 16.0
- 82.50°, rel. 13.3

Atomic structure:
abc: 5.859 5.859 5.859
angles: 66.23 66.23 66.23
Fractional coordinates of all 15 atoms:
K (0.168, 0.168, 0.168)
K (0.832, 0.832, 0.832)
Hf (0.500, 0.500, 0.500)
H (0.065, 0.625, 0.340)
H (0.340, 0.065, 0.625)
H (0.375, 0.660, 0.935)
H (0.625, 0.340, 0.065)
H (0.660, 0.935, 0.375)
H (0.935, 0.375, 0.660)
O (0.151, 0.686, 0.406)
O (0.314, 0.594, 0.849)
O (0.406, 0.151, 0.686)
O (0.594, 0.849, 0.314)
O (0.686, 0.406, 0.151)
O (0.849, 0.314, 0.594)

***

Record 3
The following is a simulated X-ray powder pattern of Ba2CoNiN2. It was derived from a cell relaxed with PBE, using Cu Kα (weighted mean of Kα1 and Kα2).

Largest 10 diffraction maxima, in order of rising 2θ, 2θ from 10° to 90°:
- 32.13°, rel. 100.0
- 32.31°, rel. 98.6
- 34.98°, rel. 68.6
- 40.92°, rel. 17.4
- 41.81°, rel. 27.0
- 50.07°, rel. 15.6
- 55.62°, rel. 35.9
- 60.85°, rel. 30.6
- 61.17°, rel. 30.1
- 70.31°, rel. 19.7

Atomic structure:
abc: 3.611 3.644 8.643
angles: 90.00 90.00 90.00
Fractional coordinates of all 6 atoms:
Ba (0.000, 0.000, 0.249)
Ba (0.000, 0.000, 0.751)
Co (0.500, 0.500, 0.000)
Ni (0.500, 0.500, 0.500)
N (0.000, 0.500, 0.000)
N (0.500, 0.000, 0.500)

***

Record 4
The following is a simulated X-ray powder pattern of Gd2Si2O7. It was derived from a cell relaxed with PBE, using Cu Kα (weighted mean of Kα1 and Kα2).

Largest 10 diffraction maxima, in order of rising 2θ, 2θ from 10° to 90°:
- 17.87°, rel. 30.4
- 19.00°, rel. 34.2
- 20.68°, rel. 26.2
- 27.38°, rel. 56.1
- 28.76°, rel. 100.0
- 29.30°, rel. 27.3
- 32.79°, rel. 20.8
- 33.19°, rel. 30.7
- 36.07°, rel. 24.5
- 57.78°, rel. 20.5

Atomic structure:
abc: 4.694 10.926 5.599
angles: 90.00 95.80 90.00
Fractional coordinates of all 22 atoms:
Gd (0.116, 0.149, 0.404)
Gd (0.116, 0.351, 0.904)
Gd (0.884, 0.649, 0.096)
Gd (0.884, 0.851, 0.596)
Si (0.360, 0.613, 0.643)
Si (0.360, 0.887, 0.143)
Si (0.640, 0.113, 0.857)
Si (0.640, 0.387, 0.357)
O (0.122, 0.682, 0.460)
O (0.122, 0.818, 0.960)
O (0.209, 0.553, 0.869)
O (0.209, 0.947, 0.369)
O (0.383, 0.203, 0.749)
O (0.383, 0.297, 0.249)
O (0.500, 0.000, 0.000)
O (0.500, 0.500, 0.500)
O (0.617, 0.703, 0.751)
O (0.617, 0.797, 0.251)
O (0.791, 0.053, 0.631)
O (0.791, 0.447, 0.131)
O (0.878, 0.182, 0.040)
O (0.878, 0.318, 0.540)

***

Record 5
The following is a simulated X-ray powder pattern of SmCuGe2Pd. It was derived from a cell relaxed with PBE, using Cu Kα (weighted mean of Kα1 and Kα2).

Largest 10 diffraction maxima, in order of rising 2θ, 2θ from 10° to 90°:
- 33.60°, rel. 59.8
- 34.85°, rel. 100.0
- 43.13°, rel. 55.1
- 49.00°, rel. 25.2
- 55.75°, rel. 28.0
- 62.17°, rel. 14.1
- 62.64°, rel. 17.8
- 67.30°, rel. 19.3
- 73.72°, rel. 21.6
- 88.72°, rel. 21.1

Atomic structure:
abc: 5.973 5.973 5.973
angles: 138.88 138.88 59.55
Fractional coordinates of all 5 atoms:
Sm (0.000, 0.000, 0.000)
Cu (0.250, 0.750, 0.500)
Ge (0.380, 0.380, 0.000)
Ge (0.620, 0.620, 0.000)
Pd (0.750, 0.250, 0.500)

***

Record 6
The following is a simulated X-ray powder pattern of Cu2NiMo. It was derived from a cell relaxed with PBE, using Cu Kα (weighted mean of Kα1 and Kα2).

Largest 8 diffraction maxima, in order of rising 2θ, 2θ from 10° to 90°:
- 26.39°, rel. 2.5
- 30.56°, rel. 1.6
- 43.77°, rel. 100.0
- 51.83°, rel. 1.1
- 63.62°, rel. 15.3
- 70.12°, rel. 0.5
- 72.22°, rel. 0.6
- 80.42°, rel. 30.3

Atomic structure:
abc: 4.137 4.137 4.137
angles: 60.00 60.00 60.00
Fractional coordinates of all 4 atoms:
Cu (0.000, 0.000, 0.000)
Cu (0.250, 0.250, 0.250)
Ni (0.750, 0.750, 0.750)
Mo (0.500, 0.500, 0.500)

***

Record 7
The following is a simulated X-ray powder pattern of Ta6SnPt. It was derived from a cell relaxed with PBE, using Cu Kα (weighted mean of Kα1 and Kα2).

Largest 10 diffraction maxima, in order of rising 2θ, 2θ from 10° to 90°:
- 34.13°, rel. 29.8
- 38.30°, rel. 100.0
- 42.13°, rel. 67.1
- 61.10°, rel. 9.5
- 63.88°, rel. 22.5
- 66.59°, rel. 35.4
- 71.87°, rel. 15.0
- 82.01°, rel. 10.1
- 84.50°, rel. 21.2
- 86.97°, rel. 8.9

Atomic structure:
abc: 5.254 5.254 5.254
angles: 90.00 90.00 90.00
Fractional coordinates of all 8 atoms:
Ta (0.000, 0.254, 0.500)
Ta (0.000, 0.746, 0.500)
Ta (0.254, 0.500, 0.000)
Ta (0.500, 0.000, 0.254)
Ta (0.500, 0.000, 0.746)
Ta (0.746, 0.500, 0.000)
Sn (0.000, 0.000, 0.000)
Pt (0.500, 0.500, 0.500)

***

Record 8
The following is a simulated X-ray powder pattern of Tb11O20. It was derived from a cell relaxed with PBE, using Cu Kα (weighted mean of Kα1 and Kα2).

Largest 10 diffraction maxima, in order of rising 2θ, 2θ from 10° to 90°:
- 28.62°, rel. 49.3
- 28.74°, rel. 48.2
- 28.90°, rel. 100.0
- 32.92°, rel. 21.8
- 33.40°, rel. 20.7
- 33.76°, rel. 21.7
- 47.78°, rel. 15.9
- 47.92°, rel. 31.2
- 48.29°, rel. 14.8
- 57.42°, rel. 19.6

Atomic structure:
abc: 6.549 6.569 10.106
angles: 91.40 95.70 99.42
Fractional coordinates of all 31 atoms:
Tb (0.000, 0.000, 0.000)
Tb (0.093, 0.191, 0.384)
Tb (0.163, 0.351, 0.742)
Tb (0.285, 0.584, 0.084)
Tb (0.369, 0.732, 0.438)
Tb (0.419, 0.909, 0.814)
Tb (0.581, 0.091, 0.186)
Tb (0.631, 0.268, 0.562)
Tb (0.715, 0.416, 0.916)
Tb (0.837, 0.649, 0.258)
Tb (0.907, 0.809, 0.616)
O (0.056, 0.838, 0.426)
O (0.063, 0.334, 0.955)
O (0.094, 0.985, 0.793)
O (0.150, 0.499, 0.277)
O (0.223, 0.675, 0.649)
O (0.314, 0.414, 0.537)
O (0.319, 0.929, 0.038)
O (0.412, 0.094, 0.379)
O (0.436, 0.592, 0.886)
O (0.475, 0.240, 0.754)
O (0.525, 0.760, 0.246)
O (0.564, 0.408, 0.114)
O (0.588, 0.906, 0.621)
O (0.681, 0.071, 0.962)
O (0.686, 0.586, 0.463)
O (0.777, 0.325, 0.351)
O (0.850, 0.501, 0.723)
O (0.906, 0.015, 0.207)
O (0.937, 0.666, 0.045)
O (0.944, 0.162, 0.574)

***

Q: Which formula does entry 1 have?
A: LiHgB4